1.
Computed X-ray powder pattern
Compound: LiSc3Rh2
Radiation: Cu Kα (weighted mean of Kα1 and Kα2)
Structure: a cell relaxed with GGA-PBE
Peak positions follow from Bragg's law for the DFT cell and can differ from measured ones.

Atomic structure:
Cell: 4.6667 13.9492 3.2307 Å, 90.00 90.00 90.00°
Space group Pmmn (No. 59, origin choice 2)
Asymmetric unit:
1 Li 0.2500 0.2500 0.0011 x2
2 Sc 0.2500 0.0761 0.5003 x4
3 Sc 0.2500 0.7500 0.4987 x2
4 Rh 0.2500 0.5867 0.9995 x4

Main lines, by intensity (10° ≤ 2θ ≤ 80°):
two_theta  I (rel.)  (hkl)
39.05  100.0  1 3 1
12.69  32.8  0 2 0
20.06  27.3  1 1 0
38.59  26.1  2 0 0
38.73  25.1  0 6 0
55.82  16.4  2 6 0
70.13  16.3  3 3 1
70.32  15.9  1 9 1
71.01  15.6  2 0 2
34.37  12.0  1 1 1


2.
Computed X-ray powder pattern
Compound: CeH5Ru
Radiation: Cu Kα (weighted mean of Kα1 and Kα2)
Structure: a cell relaxed with GGA-PBE
Peak positions follow from Bragg's law for the DFT cell and can differ from measured ones.

Atomic structure:
Cell: 3.7711 4.8687 6.7277 Å, 90.00 90.00 90.00°
Space group Immm (No. 71)
Asymmetric unit:
1 Ce 0.0000 0.0000 0.0000 x2
2 H 0.0000 0.2602 0.3302 x8
3 H 0.0000 0.5000 0.0000 x2
4 Ru 0.0000 0.0000 0.5000 x2

Main lines, by intensity (10° ≤ 2θ ≤ 80°):
two_theta  I (rel.)  (hkl)
29.97  100.0  1 1 0
40.43  88.9  1 1 2
26.50  68.8  0 0 2
68.90  36.6  2 2 2
46.02  31.7  0 2 2
36.92  28.0  0 2 0
62.28  24.5  1 3 0
63.51  23.2  1 1 4
55.90  17.1  2 0 2
48.27  14.0  2 0 0


Repeat the second record exactly.
Computed X-ray powder pattern
Compound: CeH5Ru
Radiation: Cu Kα (weighted mean of Kα1 and Kα2)
Structure: a cell relaxed with GGA-PBE
Peak positions follow from Bragg's law for the DFT cell and can differ from measured ones.

Atomic structure:
Cell: 3.7711 4.8687 6.7277 Å, 90.00 90.00 90.00°
Space group Immm (No. 71)
Asymmetric unit:
1 Ce 0.0000 0.0000 0.0000 x2
2 H 0.0000 0.2602 0.3302 x8
3 H 0.0000 0.5000 0.0000 x2
4 Ru 0.0000 0.0000 0.5000 x2

Main lines, by intensity (10° ≤ 2θ ≤ 80°):
two_theta  I (rel.)  (hkl)
29.97  100.0  1 1 0
40.43  88.9  1 1 2
26.50  68.8  0 0 2
68.90  36.6  2 2 2
46.02  31.7  0 2 2
36.92  28.0  0 2 0
62.28  24.5  1 3 0
63.51  23.2  1 1 4
55.90  17.1  2 0 2
48.27  14.0  2 0 0